(1)
Computed powder XRD pattern of AcSm4Dy3 for CuKα, from the PBE geometry in Alexandria.
Neutral-atom scattering factors, no anomalous dispersion.

Largest 10 diffraction maxima, sorted by position, 5° ≤ 2θ ≤ 70°:
Position (°2θ)  I (rel.)
28.77  23.7
29.36  8.8
30.19  31.1
31.66  100.0
42.19  17.0
48.40  8.5
52.82  10.3
54.56  21.7
58.11  9.9
66.12  9.0

Structural model:
```
data_AcSm4Dy3
_cell_length_a 3.761
_cell_length_b 5.920
_cell_length_c 24.826
_cell_angle_alpha 90.00
_cell_angle_beta 90.00
_cell_angle_gamma 90.00
_symmetry_space_group_name_H-M 'I m m m'
_symmetry_Int_Tables_number 71
_symmetry_space_group_name_Hall '-I 2 2'
loop_
_atom_site_label
_atom_site_type_symbol
_atom_site_fract_x
_atom_site_fract_y
_atom_site_fract_z
Ac1 Ac 0.000 0.000 0.000
Sm1 Sm 0.000 0.500 0.114
Sm2 Sm 0.000 0.500 0.359
Dy1 Dy 0.000 0.000 0.266
Dy2 Dy 0.000 0.000 0.500
```

---

(2)
Computed powder XRD pattern of La6Cd2FeRu for CuKα, from the PBE geometry in Alexandria.
Neutral-atom scattering factors, no anomalous dispersion.

Largest 10 diffraction maxima, sorted by position, 5° ≤ 2θ ≤ 70°:
Position (°2θ)  I (rel.)
27.56  29.4
28.68  100.0
32.80  39.5
33.45  57.2
36.21  15.2
47.55  41.0
48.03  14.5
50.35  14.9
56.05  26.7
59.38  14.7

Structural model:
```
data_La6Cd2FeRu
_cell_length_a 7.576
_cell_length_b 7.579
_cell_length_c 7.648
_cell_angle_alpha 60.31
_cell_angle_beta 60.31
_cell_angle_gamma 89.95
_symmetry_space_group_name_H-M 'P 1'
_symmetry_Int_Tables_number 1
_symmetry_space_group_name_Hall 'P 1'
loop_
_atom_site_label
_atom_site_type_symbol
_atom_site_fract_x
_atom_site_fract_y
_atom_site_fract_z
La1 La 0.000 0.000 0.000
La2 La 0.037 0.949 0.520
La3 La 0.088 0.507 0.005
La4 La 0.504 0.906 0.007
La5 La 0.551 0.463 0.501
La6 La 0.596 0.411 0.011
Cd1 Cd 0.048 0.460 0.504
Cd2 Cd 0.549 0.956 0.505
Fe1 Fe 0.825 0.739 0.957
Ru1 Ru 0.298 0.209 0.999
```